[1]
Starting from a cell relaxed with GGA-PBE, the powder XRD pattern of NaSrZrBiO6 was simulated for Cu Kα X-rays.
Kinematic intensities with the Lorentz-polarization factor, no thermal factor.

Peak list (8 most intense, 10° ≤ 2θ ≤ 90°, sorted by position)
18.33°, d = 4.840 Å, I = 24
21.20°, d = 4.192 Å, I = 41
30.15°, d = 2.964 Å, I = 100
43.17°, d = 2.096 Å, I = 34
53.55°, d = 1.711 Å, I = 41
62.69°, d = 1.482 Å, I = 21
71.13°, d = 1.325 Å, I = 18
86.97°, d = 1.120 Å, I = 22

Structural model:
```
NaSrZrBiO6
1.0
0.0000 4.1915 4.1915
4.1915 0.0000 4.1915
4.1915 4.1915 0.0000
Na Sr Zr Bi O
1 1 1 1 6
Direct
0.0000 0.0000 0.0000
0.5000 0.5000 0.5000
0.2500 0.2500 0.2500
0.7500 0.7500 0.7500
0.0009 0.0009 0.4991
0.0009 0.4991 0.0009
0.0009 0.4991 0.4991
0.4991 0.0009 0.0009
0.4991 0.0009 0.4991
0.4991 0.4991 0.0009
```

[2]
Starting from a cell relaxed with GGA-PBE, the powder XRD pattern of BSe2 was simulated for Cu Kα X-rays.
Kinematic intensities with the Lorentz-polarization factor, no thermal factor.

Peak list (8 most intense, 10° ≤ 2θ ≤ 90°, sorted by position)
19.97°, d = 4.445 Å, I = 18
22.22°, d = 4.000 Å, I = 100
26.78°, d = 3.330 Å, I = 21
27.53°, d = 3.240 Å, I = 20
28.26°, d = 3.158 Å, I = 13
30.77°, d = 2.906 Å, I = 21
33.44°, d = 2.680 Å, I = 44
35.61°, d = 2.521 Å, I = 14

Structural model:
```
BSe2
1.0
7.5983 0.0000 0.0000
0.0000 11.3749 0.0000
-4.1057 0.0000 8.0008
B Se
8 16
Direct
0.0169 0.1343 0.2508
0.0169 0.3657 0.7508
0.1688 0.6323 0.7657
0.1688 0.8677 0.2657
0.8312 0.1323 0.7343
0.8312 0.3677 0.2343
0.9831 0.6343 0.2492
0.9831 0.8657 0.7492
0.0802 0.1972 0.7588
0.0802 0.3028 0.2588
0.2366 0.5798 0.2751
0.2366 0.9202 0.7751
0.2400 0.0349 0.2741
0.2400 0.4651 0.7741
0.3847 0.7338 0.7871
0.3847 0.7662 0.2871
0.6153 0.2338 0.7129
0.6153 0.2662 0.2129
0.7600 0.5349 0.2259
0.7600 0.9651 0.7259
0.7634 0.0798 0.2249
0.7634 0.4202 0.7249
0.9198 0.6972 0.7412
0.9198 0.8028 0.2412
```

[3]
Starting from a cell relaxed with GGA-PBE, the powder XRD pattern of Cs2AgBiF6 was simulated for Cu Kα X-rays.
Kinematic intensities with the Lorentz-polarization factor, no thermal factor.

Peak list (8 most intense, 10° ≤ 2θ ≤ 90°, sorted by position)
26.42°, d = 3.373 Å, I = 100
37.71°, d = 2.385 Å, I = 33
46.63°, d = 1.948 Å, I = 43
54.39°, d = 1.687 Å, I = 21
61.46°, d = 1.509 Å, I = 19
68.08°, d = 1.377 Å, I = 7
74.40°, d = 1.275 Å, I = 23
86.56°, d = 1.124 Å, I = 12

Structural model:
```
Cs2AgBiF6
1.0
0.0000 4.7708 4.7708
4.7708 0.0000 4.7708
4.7708 4.7708 0.0000
Cs Ag Bi F
2 1 1 6
Direct
0.2500 0.2500 0.2500
0.7500 0.7500 0.7500
0.0000 0.0000 0.0000
0.5000 0.5000 0.5000
0.2609 0.2609 0.7391
0.2609 0.7391 0.2609
0.2609 0.7391 0.7391
0.7391 0.2609 0.2609
0.7391 0.2609 0.7391
0.7391 0.7391 0.2609
```

[4]
Starting from a cell relaxed with GGA-PBE, the powder XRD pattern of EuSe was simulated for Cu Kα X-rays.
Kinematic intensities with the Lorentz-polarization factor, no thermal factor.

Peak list (8 most intense, 10° ≤ 2θ ≤ 90°, sorted by position)
25.09°, d = 3.549 Å, I = 18
29.05°, d = 3.074 Å, I = 100
41.55°, d = 2.173 Å, I = 76
49.16°, d = 1.853 Å, I = 9
51.50°, d = 1.775 Å, I = 27
60.22°, d = 1.537 Å, I = 13
68.23°, d = 1.375 Å, I = 35
75.82°, d = 1.255 Å, I = 26

Structural model:
```
EuSe
1.0
0.0000 3.0735 3.0735
3.0735 0.0000 3.0735
3.0735 3.0735 0.0000
Eu Se
1 1
Direct
0.0000 0.0000 0.0000
0.5000 0.5000 0.5000
```

[5]
Starting from a cell relaxed with GGA-PBE, the powder XRD pattern of LaNi3B was simulated for Cu Kα X-rays.
Kinematic intensities with the Lorentz-polarization factor, no thermal factor.

Peak list (8 most intense, 10° ≤ 2θ ≤ 90°, sorted by position)
30.90°, d = 2.894 Å, I = 46
32.74°, d = 2.735 Å, I = 100
35.02°, d = 2.563 Å, I = 44
39.30°, d = 2.293 Å, I = 30
40.11°, d = 2.248 Å, I = 21
42.66°, d = 2.120 Å, I = 55
49.64°, d = 1.837 Å, I = 16
63.95°, d = 1.456 Å, I = 26

Structural model:
```
LaNi3B
1.0
4.9451 -8.2329 0.0000
4.9451 8.2329 0.0000
0.0000 0.0000 7.1606
La Ni B
8 24 8
Direct
0.0250 0.4548 0.2500
0.0358 0.9642 0.7500
0.4548 0.0250 0.7500
0.4633 0.5367 0.2500
0.5367 0.4633 0.7500
0.5452 0.9750 0.2500
0.9642 0.0358 0.2500
0.9750 0.5452 0.7500
0.0052 0.7478 0.0739
0.0052 0.7478 0.4261
0.2415 0.2415 0.0000
0.2415 0.2415 0.5000
0.2522 0.4947 0.5740
0.2522 0.4947 0.9260
0.2522 0.9948 0.0739
0.2522 0.9948 0.4261
0.2590 0.7410 0.0129
0.2590 0.7410 0.4871
0.4947 0.2522 0.0740
0.4947 0.2522 0.4260
0.5053 0.7478 0.5740
0.5053 0.7478 0.9260
0.7410 0.2590 0.5129
0.7410 0.2590 0.9871
0.7478 0.0052 0.5739
0.7478 0.0052 0.9261
0.7478 0.5053 0.0740
0.7478 0.5053 0.4260
0.7585 0.7585 0.0000
0.7585 0.7585 0.5000
0.9948 0.2522 0.5739
0.9948 0.2522 0.9261
0.1773 0.3093 0.7500
0.1902 0.8098 0.2500
0.3093 0.1773 0.2500
0.3222 0.6778 0.7500
0.6778 0.3222 0.2500
0.6907 0.8227 0.7500
0.8098 0.1902 0.7500
0.8227 0.6907 0.2500
```

[6]
Starting from a cell relaxed with GGA-PBE, the powder XRD pattern of SmClO was simulated for Cu Kα X-rays.
Kinematic intensities with the Lorentz-polarization factor, no thermal factor.

Peak list (8 most intense, 10° ≤ 2θ ≤ 90°, sorted by position)
13.03°, d = 6.795 Å, I = 39
25.78°, d = 3.456 Å, I = 90
31.52°, d = 2.838 Å, I = 70
34.59°, d = 2.593 Å, I = 100
45.18°, d = 2.007 Å, I = 36
51.63°, d = 1.770 Å, I = 24
52.75°, d = 1.735 Å, I = 27
58.12°, d = 1.587 Å, I = 43

Structural model:
```
SmClO
1.0
4.0136 0.0000 0.0000
0.0000 4.0136 0.0000
0.0000 0.0000 6.7948
Sm Cl O
2 2 2
Direct
0.2500 0.2500 0.1710
0.7500 0.7500 0.8290
0.2500 0.2500 0.6278
0.7500 0.7500 0.3723
0.2500 0.7500 0.0000
0.7500 0.2500 0.0000
```

[7]
Starting from a cell relaxed with GGA-PBE, the powder XRD pattern of In3SbTe2 was simulated for Cu Kα X-rays.
Kinematic intensities with the Lorentz-polarization factor, no thermal factor.

Peak list (8 most intense, 10° ≤ 2θ ≤ 90°, sorted by position)
28.69°, d = 3.111 Å, I = 100
28.93°, d = 3.086 Å, I = 18
29.46°, d = 3.031 Å, I = 46
39.30°, d = 2.293 Å, I = 21
41.59°, d = 2.171 Å, I = 70
42.69°, d = 2.118 Å, I = 17
49.87°, d = 1.829 Å, I = 20
52.73°, d = 1.736 Å, I = 17

Structural model:
```
In3SbTe2
1.0
4.2356 0.0000 0.0000
0.0000 4.5852 0.0000
0.0000 0.0000 24.2516
In Sb Te
6 2 4
Direct
0.2500 0.2500 0.0646
0.2500 0.2500 0.3073
0.2500 0.2500 0.8086
0.7500 0.7500 0.1914
0.7500 0.7500 0.6927
0.7500 0.7500 0.9354
0.2500 0.2500 0.1849
0.7500 0.7500 0.8151
0.2500 0.2500 0.6822
0.2500 0.2500 0.9417
0.7500 0.7500 0.0583
0.7500 0.7500 0.3178
```

[8]
Starting from a cell relaxed with GGA-PBE, the powder XRD pattern of PrTlSe2 was simulated for Cu Kα X-rays.
Kinematic intensities with the Lorentz-polarization factor, no thermal factor.

Peak list (8 most intense, 10° ≤ 2θ ≤ 90°, sorted by position)
24.81°, d = 3.589 Å, I = 19
28.19°, d = 3.166 Å, I = 100
39.09°, d = 2.304 Å, I = 38
41.46°, d = 2.178 Å, I = 37
50.89°, d = 1.794 Å, I = 20
58.29°, d = 1.583 Å, I = 12
64.30°, d = 1.449 Å, I = 15
67.65°, d = 1.385 Å, I = 17

Structural model:
```
PrTlSe2
1.0
2.1781 1.2576 7.7601
-2.1781 1.2576 7.7601
0.0000 -2.5151 7.7601
Pr Tl Se
1 1 2
Direct
0.0000 0.0000 0.0000
0.5000 0.5000 0.5000
0.2629 0.2629 0.2629
0.7371 0.7371 0.7371
```

[9]
Starting from a cell relaxed with GGA-PBE, the powder XRD pattern of DyCoNi was simulated for Cu Kα X-rays.
Kinematic intensities with the Lorentz-polarization factor, no thermal factor.

Peak list (8 most intense, 10° ≤ 2θ ≤ 90°, sorted by position)
21.66°, d = 4.102 Å, I = 32
35.67°, d = 2.517 Å, I = 100
35.99°, d = 2.496 Å, I = 25
41.94°, d = 2.154 Å, I = 78
42.24°, d = 2.139 Å, I = 79
42.37°, d = 2.133 Å, I = 73
68.81°, d = 1.364 Å, I = 25
75.56°, d = 1.258 Å, I = 34

Structural model:
```
DyCoNi
1.0
-2.4956 2.5092 3.5801
2.4956 -2.5092 3.5801
2.4956 2.5092 -3.5801
Dy Co Ni
2 2 2
Direct
0.3725 0.1225 0.2500
0.6275 0.8775 0.7500
0.0000 0.0000 0.5000
0.0000 0.5000 0.0000
0.0000 0.5000 0.5000
0.5000 0.5000 0.0000
```

[10]
Starting from a cell relaxed with GGA-PBE, the powder XRD pattern of Li3Eu2B3O9 was simulated for Cu Kα X-rays.
Kinematic intensities with the Lorentz-polarization factor, no thermal factor.

Peak list (8 most intense, 10° ≤ 2θ ≤ 90°, sorted by position)
15.63°, d = 5.668 Å, I = 51
15.88°, d = 5.579 Å, I = 58
20.87°, d = 4.255 Å, I = 33
20.98°, d = 4.235 Å, I = 100
21.66°, d = 4.103 Å, I = 33
22.88°, d = 3.887 Å, I = 70
27.09°, d = 3.291 Å, I = 42
31.57°, d = 2.834 Å, I = 44

Structural model:
```
Li3Eu2B3O9
1.0
6.7572 0.0000 0.0000
0.0000 11.1587 0.0000
-1.8512 0.0000 6.5799
Li Eu B O
6 4 6 18
Direct
0.0633 0.0000 0.1590
0.3206 0.0583 0.9664
0.3591 0.4406 0.7455
0.6409 0.9406 0.2545
0.6794 0.5583 0.0336
0.9367 0.5000 0.8410
0.0242 0.7114 0.5133
0.3941 0.3635 0.2927
0.6059 0.8635 0.7073
0.9758 0.2114 0.4867
0.0737 0.2049 0.9520
0.2470 0.8289 0.0995
0.3065 0.6147 0.9739
0.6935 0.1147 0.0261
0.7530 0.3289 0.9005
0.9263 0.7049 0.0480
0.0386 0.8152 0.1050
0.0469 0.1151 0.8119
0.1766 0.5767 0.7916
0.2120 0.1955 0.1384
0.2159 0.3504 0.5139
0.3005 0.8096 0.5571
0.3373 0.7393 0.0136
0.3374 0.9345 0.1611
0.4256 0.5364 0.1080
0.5744 0.0364 0.8920
0.6627 0.2393 0.9864
0.6626 0.4345 0.8389
0.6995 0.3096 0.4429
0.7841 0.8504 0.4861
0.7880 0.6955 0.8616
0.8234 0.0767 0.2084
0.9531 0.6151 0.1881
0.9614 0.3152 0.8950
```